# V3Ag2TeS6
Calculated PXRD pattern, Cu Kα X-rays. Input: a crystal structure in Alexandria, relaxed with GGA-PBE.

Main lines, sorted by position (2θ from 10° to 90°):
hkl 0 0 2, 2θ = 21.92°, rel. 47; hkl 1 1 0, 2θ = 32.39°, rel. 92; hkl 1 1 1, 2θ = 34.28°, rel. 86; hkl 1 1 3, 2θ = 47.02°, rel. 100; hkl 3 0 0, 2θ = 57.78°, rel. 32; hkl 2 2 3, 2θ = 77.58°, rel. 21

Structure:
```
V3Ag2TeS6
1.0
5.528 0.000 0.000
-2.764 4.787 0.000
0.000 0.000 8.111
V Ag Te S
3 2 1 6
Cartesian
-0.942 1.631 0.000 V
1.884 0.000 0.000 V
1.822 3.156 0.000 V
0.000 3.192 4.056 Ag
2.764 1.596 4.056 Ag
0.000 0.000 4.056 Te
0.000 0.000 1.403 S
0.000 0.000 6.708 S
0.000 3.192 1.479 S
0.000 3.192 6.632 S
2.764 1.596 1.479 S
2.764 1.596 6.632 S
```

# Nb2VTe4S2
Calculated PXRD pattern, Cu Kα X-rays. Input: a crystal structure in Alexandria, relaxed with GGA-PBE.

Main lines, sorted by position (2θ from 10° to 90°):
hkl 0 0 3, 2θ = 12.04°, rel. 62; hkl 1 0 0, 2θ = 29.47°, rel. 72; hkl 1 0 4, 2θ = 33.75°, rel. 93; hkl 0 1 5, 2θ = 35.96°, rel. 100; hkl 1 0 7, 2θ = 41.34°, rel. 62; hkl 1 1 0, 2θ = 52.28°, rel. 55

Structure:
```
Nb2VTe4S2
1.0
3.499 0.000 0.000
-1.750 3.031 0.000
0.000 0.000 22.052
Nb V Te S
2 1 4 2
Cartesian
0.000 0.000 0.000 Nb
0.000 2.020 7.756 Nb
0.000 2.020 15.277 V
0.000 0.000 5.816 Te
0.000 0.000 9.700 Te
0.000 2.020 1.940 Te
0.000 2.020 20.112 Te
0.000 0.000 13.862 S
0.000 0.000 16.697 S
```